Record 1
This entry pairs a crystal structure of LiPb5 with its theoretical powder XRD pattern. Radiation: Cu Ka. Structure: a PBE-relaxed structure.
Intensities are scaled so that the largest is 100.

a b c (Å): 5.4826 8.7938 8.7938
angles (deg): 24.67 90.00 90.00
Fractional positions:
Li 0.0000 0.0000 0.0000
Pb 0.0000 0.3366 0.3366
Pb 0.0000 0.6571 0.6571
Pb 0.5000 0.2081 0.2081
Pb 0.5000 0.5363 0.5363
Pb 0.5000 0.8778 0.8778

Top 10 peaks for 15° ≤ 2θ ≤ 90°, by angle:
| 2θ (°) | Rel. int. |
| --- | --- |
| 28.41 | 16.6 |
| 31.24 | 15.8 |
| 32.67 | 30.3 |
| 32.85 | 100.0 |
| 35.36 | 28.0 |
| 45.82 | 11.3 |
| 53.87 | 12.7 |
| 58.42 | 20.0 |
| 59.66 | 11.2 |
| 64.44 | 15.0 |

---

Record 2
This entry pairs a crystal structure of La2PrHo12 with its theoretical powder XRD pattern. Radiation: Cu Ka. Structure: a PBE-relaxed structure.
Intensities are scaled so that the largest is 100.

a b c (Å): 6.6471 6.6471 24.5527
angles (deg): 92.23 92.23 115.19
Fractional positions:
La 0.0658 0.0658 0.2744
La 0.4305 0.4305 0.7251
La 0.5695 0.5695 0.2749
La 0.9342 0.9342 0.7256
Pr 0.2501 0.2501 0.0001
Pr 0.7499 0.7499 0.9999
Ho 0.0491 0.5493 0.2013
Ho 0.0833 0.5810 0.3326
Ho 0.1398 0.6364 0.5544
Ho 0.1408 0.1408 0.5716
Ho 0.2169 0.2169 0.8639
Ho 0.2322 0.7322 0.9246
Ho 0.2678 0.7678 0.0754
Ho 0.2833 0.2833 0.1363
Ho 0.3565 0.3565 0.4306
Ho 0.3636 0.8602 0.4456
Ho 0.4190 0.9167 0.6674
Ho 0.4507 0.9509 0.7987
Ho 0.5493 0.0491 0.2013
Ho 0.5810 0.0833 0.3326
Ho 0.6364 0.1398 0.5544
Ho 0.6435 0.6435 0.5694
Ho 0.7167 0.7167 0.8637
Ho 0.7322 0.2322 0.9246
Ho 0.7678 0.2678 0.0754
Ho 0.7831 0.7831 0.1361
Ho 0.8592 0.8592 0.4284
Ho 0.8602 0.3636 0.4456
Ho 0.9167 0.4190 0.6674
Ho 0.9509 0.4507 0.7987

Top 10 peaks for 15° ≤ 2θ ≤ 90°, by angle:
| 2θ (°) | Rel. int. |
| --- | --- |
| 30.10 | 97.1 |
| 30.22 | 50.5 |
| 31.11 | 61.4 |
| 31.89 | 100.0 |
| 32.18 | 50.5 |
| 32.40 | 94.9 |
| 33.34 | 44.8 |
| 36.04 | 32.7 |
| 45.94 | 37.6 |
| 59.52 | 35.7 |

---

Record 3
This entry pairs a crystal structure of Sr3Tm3CuTe8 with its theoretical powder XRD pattern. Radiation: Cu Ka. Structure: a PBE-relaxed structure.
Intensities are scaled so that the largest is 100.

a b c (Å): 8.8383 8.8383 9.1139
angles (deg): 118.99 118.99 60.03
Fractional positions:
Sr 0.0000 0.0000 0.0000
Sr 0.0000 0.5000 0.0000
Sr 0.5000 0.0000 0.0000
Tm 0.0000 0.5000 0.5000
Tm 0.5000 0.0000 0.5000
Tm 0.5000 0.5000 0.5000
Cu 0.0000 0.0000 0.5000
Te 0.2354 0.2354 0.7157
Te 0.2364 0.7438 0.7167
Te 0.2562 0.7636 0.2833
Te 0.2576 0.2576 0.2727
Te 0.7424 0.7424 0.7273
Te 0.7438 0.2364 0.7167
Te 0.7636 0.2562 0.2833
Te 0.7646 0.7646 0.2843

Top 10 peaks for 15° ≤ 2θ ≤ 90°, by angle:
| 2θ (°) | Rel. int. |
| --- | --- |
| 28.14 | 100.0 |
| 36.35 | 8.6 |
| 39.58 | 35.6 |
| 40.83 | 37.9 |
| 50.32 | 25.5 |
| 58.18 | 12.1 |
| 64.96 | 13.6 |
| 66.73 | 19.2 |
| 73.51 | 11.7 |
| 74.35 | 6.4 |